(1)
Calculated powder diffractogram
Compound: La3Nd2Sm
Radiation: CuKα
Structure: a GGA-PBE-relaxed structure
Neutral-atom scattering factors, no anomalous dispersion.

Top 7 peaks for 2θ from 5° to 70°, low angle first:
2θ (°)  Rel. int.
29.6  100
34.3  51
49.3  36
58.5  33
58.5  11
61.3  3
61.4  9

Crystal structure
abc: 7.3945 7.3945 9.0772
angles: 90.00 90.00 120.00
Space group P-3m1 (No. 164)
One atom of each set of equivalent atoms:
La (0.1664, 0.3329, 0.1670) x6
Nd (0.0000, 0.0000, 0.5000) x1
Nd (0.0000, 0.5000, 0.5000) x3
Sm (0.3333, 0.6667, 0.8311) x2

***

(2)
Calculated powder diffractogram
Compound: BaLiGaAg
Radiation: CuKα
Structure: a GGA-PBE-relaxed structure
Neutral-atom scattering factors, no anomalous dispersion.

Top 10 peaks for 2θ from 5° to 70°, low angle first:
2θ (°)  Rel. int.
22.7  100
30.1  33
30.5  25
33.8  87
38.7  66
45.3  16
50.1  37
52.4  24
57.1  18
67.0  15

Crystal structure
abc: 8.062 4.642 6.452
angles: 90.00 114.62 90.00
Space group Cm (No. 8)
One atom of each set of equivalent atoms:
Ba (0.000, 0.000, 0.000) x2
Li (0.498, 0.000, 0.493) x2
Ga (0.195, 0.000, 0.587) x2
Ag (0.311, 0.500, 0.434) x2

***

(3)
Calculated powder diffractogram
Compound: Tb4Dy5Er3
Radiation: CuKα
Structure: a GGA-PBE-relaxed structure
Neutral-atom scattering factors, no anomalous dispersion.

Top 9 peaks for 2θ from 5° to 70°, low angle first:
2θ (°)  Rel. int.
31.0  100
36.0  51
51.8  24
51.9  12
61.6  21
61.7  18
61.7  4
64.6  3
64.7  9

Crystal structure
abc: 6.116 7.063 8.640
angles: 90.03 90.13 90.14
Space group P-1 (No. 2)
One atom of each set of equivalent atoms:
Tb (0.166, 0.249, 0.167) x2
Tb (0.333, 0.500, 0.833) x2
Dy (0.000, 0.500, 0.500) x1
Dy (0.333, 0.000, 0.833) x2
Dy (0.499, 0.750, 0.500) x2
Er (0.000, 0.000, 0.500) x1
Er (0.167, 0.750, 0.167) x2